Li5VP3O12: theoretical powder X-ray diffraction pattern (λ = 1.5418 Å (Cu Kα)), based on DFT lattice parameters and positions (PBE+U).
Kinematic intensities with the Lorentz-polarization factor, no thermal factor.

The 10 most intense peaks (10 to 80 degrees two-theta), sorted by position:
| (hkl) | Position (°2θ) | I (rel.) |
| --- | --- | --- |
| 1 0 0 | 12.56 | 100 |
| 1 1 1 | 12.76 | 47 |
| 1 1 0 | 13.93 | 43 |
| 1 0 1 | 14.29 | 34 |
| 0 0 2 | 22.04 | 82 |
| 1 2 0 | 23.47 | 89 |
| -1 1 1 | 23.65 | 50 |
| 1 -1 1 | 23.82 | 37 |
| 1 2 2 | 24.01 | 43 |
| 2 1 2 | 24.11 | 49 |

Atomic structure:
```
data_Li5VP3O12
_chemical_formula_sum 'Li10 V2 P6 O24'
_symmetry_space_group_name_H-M 'P 1'
_symmetry_Int_Tables_number 1
_symmetry_space_group_name_Hall 'P 1'
_cell_length_a 8.4528
_cell_length_b 8.4596
_cell_length_c 9.2916
_cell_angle_alpha 64.36
_cell_angle_beta 64.85
_cell_angle_gamma 60.07
loop_
_atom_site_label
_atom_site_fract_x
_atom_site_fract_y
_atom_site_fract_z
Li1 0.0000 0.0000 0.0000
Li2 0.0259 0.7291 0.8204
Li3 0.1359 0.5833 0.3679
Li4 0.1652 0.8664 0.4312
Li5 0.3741 0.3390 0.8940
Li6 0.5467 0.8291 0.3796
Li7 0.6397 0.7124 0.8911
Li8 0.7914 0.4853 0.5812
Li9 0.8746 0.2469 0.3766
Li10 0.9107 0.6102 0.2063
V1 0.3851 0.0844 0.7686
V2 0.5769 0.2823 0.1931
P1 0.2095 0.1886 0.4621
P2 0.2872 0.6747 0.9920
P3 0.4786 0.4643 0.4905
P4 0.6692 0.9813 0.0043
P5 0.7662 0.9015 0.4824
P6 0.9730 0.3641 0.0036
O1 0.1131 0.7034 0.1424
O2 0.1779 0.2428 0.9159
O3 0.2518 0.1658 0.6227
O4 0.2690 0.6022 0.8772
O5 0.2826 0.6036 0.4659
O6 0.2860 0.9956 0.4362
O7 0.2928 0.8776 0.9034
O8 0.3109 0.3222 0.3199
O9 0.4699 0.2999 0.6557
O10 0.4817 0.5438 0.0399
O11 0.5415 0.9894 0.9155
O12 0.5616 0.1802 0.0454
O13 0.5940 0.5563 0.4913
O14 0.5977 0.3685 0.3418
O15 0.6099 0.9005 0.6532
O16 0.6575 0.0246 0.3434
O17 0.6748 0.8142 0.1595
O18 0.8476 0.2454 0.0594
O19 0.8636 0.6965 0.4718
O20 0.8673 0.9649 0.8892
O21 0.8985 0.5584 0.8805
O22 0.9030 0.9816 0.4632
O23 0.9820 0.3800 0.1569
O24 0.9970 0.2959 0.4858
```